(1)
The following is a theoretical powder X-ray diffraction pattern of Sc4IrPt3. It was derived from a crystal structure in Alexandria, relaxed with GGA-PBE, using λ = 1.5418 Å (Cu Kα).
Intensities are scaled so that the largest is 100.

Top 10 peaks for 2θ = 10–90°, by angle:
h k l	two_theta	I/Imax
0 1 2	26.81	51
1 0 0	27.84	23
0 2 0	38.28	53
1 1 2	39.04	100
1 2 0	48.00	22
0 2 4	55.25	18
0 3 2	62.46	11
1 3 2	69.72	36
2 2 0	71.23	17
2 2 4	83.87	11

Cell and atoms:
Unit cell a=3.204 b=4.702 c=9.404 alpha=90.00 beta=90.00 gamma=90.00
Space group Pmmm (No. 47)
Inequivalent atoms, fractional coordinates:
Sc 0.000 0.000 0.000
Sc 0.000 0.000 0.500
Sc 0.000 0.500 0.246
Ir 0.500 0.500 0.000
Pt 0.500 0.000 0.248
Pt 0.500 0.500 0.500

(2)
The following is a theoretical powder X-ray diffraction pattern of Ho4Er7Pu. It was derived from a crystal structure in Alexandria, relaxed with GGA-PBE, using λ = 1.5418 Å (Cu Kα).
Intensities are scaled so that the largest is 100.

Top 10 peaks for 2θ = 10–90°, by angle:
h k l	two_theta	I/Imax
0 2 1	29.38	26
-2 1 1	30.35	28
1 2 -1	31.27	21
1 1 1	32.03	65
1 -3 1	32.27	62
-1 2 2	32.83	100
2 0 -2	33.22	16
0 3 -2	34.76	13
2 0 -3	38.05	21
-2 5 1	58.01	18

Cell and atoms:
Unit cell a=5.892 b=8.654 c=8.661 alpha=101.78 beta=108.94 gamma=108.96
Space group P-1 (No. 2)
Inequivalent atoms, fractional coordinates:
Ho 0.036 0.148 0.410
Ho 0.037 0.410 0.148
Er 0.326 0.313 0.850
Er 0.328 0.851 0.313
Er 0.362 0.615 0.614
Er 0.500 0.000 0.000
Pu 0.000 0.000 0.000

(3)
The following is a theoretical powder X-ray diffraction pattern of Dy7Tl5Cd. It was derived from a crystal structure in Alexandria, relaxed with GGA-PBE, using λ = 1.5418 Å (Cu Kα).
Intensities are scaled so that the largest is 100.

Top 10 peaks for 2θ = 10–90°, by angle:
h k l	two_theta	I/Imax
0 0 2	16.60	30
1 3 0	28.41	27
2 2 0	31.72	71
1 3 2	33.08	53
0 4 0	33.48	23
0 0 4	33.61	40
2 2 2	36.00	100
0 4 2	37.62	42
2 6 0	58.74	21
2 2 6	61.66	29

Cell and atoms:
Unit cell a=6.642 b=10.707 c=10.667 alpha=90.00 beta=90.00 gamma=90.00
Space group Imm2 (No. 44)
Inequivalent atoms, fractional coordinates:
Dy 0.000 0.000 0.000
Dy 0.000 0.000 0.356
Dy 0.000 0.320 0.741
Dy 0.000 0.325 0.258
Dy 0.000 0.500 0.008
Tl 0.000 0.500 0.502
Tl 0.245 0.235 0.498
Cd 0.000 0.000 0.692

(4)
The following is a theoretical powder X-ray diffraction pattern of Rb2HgBiTe4. It was derived from a crystal structure in Alexandria, relaxed with GGA-PBE, using λ = 1.5418 Å (Cu Kα).
Intensities are scaled so that the largest is 100.

Top 10 peaks for 2θ = 10–90°, by angle:
h k l	two_theta	I/Imax
1 1 0	13.86	42
2 1 1	25.00	53
2 2 0	27.93	49
2 0 2	30.90	100
3 1 2	39.58	26
3 3 0	42.40	26
4 1 1	42.98	19
4 2 0	44.86	19
4 0 2	46.89	19
6 2 2	70.48	18

Cell and atoms:
Unit cell a=9.037 b=9.037 c=7.538 alpha=90.00 beta=90.00 gamma=90.00
Space group I-42m (No. 121)
Inequivalent atoms, fractional coordinates:
Rb 0.000 0.500 0.000
Hg 0.000 0.000 0.000
Bi 0.000 0.000 0.500
Te 0.179 0.179 0.754

(5)
The following is a theoretical powder X-ray diffraction pattern of K12NaAu5. It was derived from a crystal structure in Alexandria, relaxed with GGA-PBE, using λ = 1.5418 Å (Cu Kα).
Intensities are scaled so that the largest is 100.

Top 10 peaks for 2θ = 10–90°, by angle:
h k l	two_theta	I/Imax
1 0 1	10.68	46
1 1 0	11.10	97
0 0 2	14.08	47
2 0 0	16.10	84
2 2 2	26.47	34
1 3 2	28.35	59
2 3 1	29.17	100
3 0 3	32.41	42
1 0 5	36.62	38
1 3 4	37.82	41

Cell and atoms:
Unit cell a=11.013 b=11.559 c=12.581 alpha=90.00 beta=90.00 gamma=90.00
Space group Immm (No. 71)
Inequivalent atoms, fractional coordinates:
K 0.000 0.194 0.216
K 0.186 0.500 0.174
K 0.218 0.326 0.500
Na 0.000 0.000 0.500
Au 0.000 0.000 0.000
Au 0.000 0.366 0.000
Au 0.000 0.500 0.386

(6)
The following is a theoretical powder X-ray diffraction pattern of CuSiAu2. It was derived from a crystal structure in Alexandria, relaxed with GGA-PBE, using λ = 1.5418 Å (Cu Kα).
Intensities are scaled so that the largest is 100.

Top 10 peaks for 2θ = 10–90°, by angle:
h k l	two_theta	I/Imax
1 1 0	22.06	27
2 0 0	23.55	21
1 1 -1	30.01	100
1 1 1	38.31	27
3 1 -1	38.68	28
3 1 0	40.52	36
2 0 1	42.78	25
4 0 -1	43.29	23
2 2 0	45.01	32
2 0 -2	47.66	21

Cell and atoms:
Unit cell a=8.423 b=4.762 c=3.817 alpha=90.00 beta=116.24 gamma=90.00
Space group C2 (No. 5)
Inequivalent atoms, fractional coordinates:
Cu 0.000 0.000 0.000
Si 0.000 0.495 0.000
Au 0.192 0.737 0.688